[1]
Structure and calculated X-ray powder pattern of CaNiGeH (a structure optimized by DFT (PBE); Cu Kα, 1.54184 Å).

Structural model:
Unit cell a=4.0163 b=4.0163 c=7.8003 alpha=90.00 beta=90.00 gamma=90.00
Element x y z (fractional)
Ca 0.2500 0.2500 0.1514
Ca 0.7500 0.7500 0.8486
Ni 0.2500 0.7500 0.5000
Ni 0.7500 0.2500 0.5000
Ge 0.2500 0.2500 0.6570
Ge 0.7500 0.7500 0.3430
H 0.2500 0.7500 0.0000
H 0.7500 0.2500 0.0000

Principal peaks in the range 2θ from 5° to 70°, in order of falling intensity:
two_theta  I (rel.)
11.34  100
31.99  66
39.24  38
45.15  35
56.40  24
57.31  22
47.41  18
46.71  12
33.58  11
65.76  10

***

[2]
Structure and calculated X-ray powder pattern of Ca2HgGe (a structure optimized by DFT (PBE); Cu Kα, 1.54184 Å).

Structural model:
Unit cell a=7.4770 b=7.4770 c=7.4770 alpha=90.00 beta=90.00 gamma=90.00
Element x y z (fractional)
Ca 0.2500 0.2500 0.2500
Ca 0.2500 0.2500 0.7500
Ca 0.2500 0.7500 0.2500
Ca 0.2500 0.7500 0.7500
Ca 0.7500 0.2500 0.2500
Ca 0.7500 0.2500 0.7500
Ca 0.7500 0.7500 0.2500
Ca 0.7500 0.7500 0.7500
Hg 0.0000 0.0000 0.0000
Hg 0.0000 0.5000 0.5000
Hg 0.5000 0.0000 0.5000
Hg 0.5000 0.5000 0.0000
Ge 0.0000 0.0000 0.5000
Ge 0.0000 0.5000 0.0000
Ge 0.5000 0.0000 0.0000
Ge 0.5000 0.5000 0.5000

Principal peaks in the range 2θ from 5° to 70°, in order of falling intensity:
two_theta  I (rel.)
33.91  100
60.68  36
23.80  33
20.57  26
48.71  18
39.99  16
54.92  15
41.85  11
53.41  7
64.79  5

***

[3]
Structure and calculated X-ray powder pattern of CaHo2Ge4O12 (a structure optimized by DFT (PBE); Cu Kα, 1.54184 Å).

Structural model:
Unit cell a=10.0942 b=10.0942 c=5.0955 alpha=90.00 beta=90.00 gamma=90.13
Element x y z (fractional)
Ca 0.0000 0.0000 0.0000
Ca 0.5000 0.5000 0.0000
Ho 0.0000 0.5000 0.0000
Ho 0.2500 0.2500 0.0000
Ho 0.5000 0.0000 0.0000
Ho 0.7500 0.7500 0.0000
Ge 0.0206 0.7503 0.5028
Ge 0.2503 0.5206 0.5028
Ge 0.2497 0.9794 0.5028
Ge 0.4794 0.7497 0.5028
Ge 0.5206 0.2503 0.4972
Ge 0.7503 0.0206 0.4972
Ge 0.7497 0.4794 0.4972
Ge 0.9794 0.2497 0.4972
O 0.0585 0.3278 0.7601
O 0.0687 0.1770 0.2464
O 0.1237 0.6237 0.6658
O 0.1297 0.8703 0.3480
O 0.1722 0.4415 0.2399
O 0.1770 0.0687 0.7536
O 0.3230 0.4313 0.7536
O 0.3278 0.0585 0.2399
O 0.3703 0.6297 0.3480
O 0.3763 0.8763 0.6658
O 0.4313 0.3230 0.2464
O 0.4415 0.1722 0.7601
O 0.5585 0.8278 0.2399
O 0.5687 0.6770 0.7536
O 0.6237 0.1237 0.3342
O 0.6297 0.3703 0.6520
O 0.6722 0.9415 0.7601
O 0.6770 0.5687 0.2464
O 0.8230 0.9313 0.2464
O 0.8278 0.5585 0.7601
O 0.8703 0.1297 0.6520
O 0.8763 0.3763 0.3342
O 0.9313 0.8230 0.7536
O 0.9415 0.6722 0.2399

Principal peaks in the range 2θ from 5° to 70°, in order of falling intensity:
two_theta  I (rel.)
30.58  100
21.43  36
12.42  32
50.93  26
60.82  25
35.58  24
60.35  14
27.93  14
45.54  11
35.23  10

***

[4]
Structure and calculated X-ray powder pattern of LiCa2Ge3 (a structure optimized by DFT (PBE); Cu Kα, 1.54184 Å).

Structural model:
Unit cell a=10.7612 b=11.3789 c=4.4198 alpha=90.00 beta=90.00 gamma=90.00
Element x y z (fractional)
Li 0.1421 0.2190 0.0000
Li 0.3579 0.7190 0.5000
Li 0.6421 0.2810 0.5000
Li 0.8579 0.7810 0.0000
Ca 0.0525 0.6472 0.5000
Ca 0.1787 0.9264 0.0000
Ca 0.3213 0.4264 0.5000
Ca 0.4475 0.1472 0.0000
Ca 0.5525 0.8528 0.0000
Ca 0.6787 0.5736 0.5000
Ca 0.8213 0.0736 0.0000
Ca 0.9475 0.3528 0.5000
Ge 0.0280 0.1052 0.5000
Ge 0.1115 0.4544 0.0000
Ge 0.2431 0.6423 0.0000
Ge 0.2569 0.1423 0.5000
Ge 0.3885 0.9544 0.5000
Ge 0.4720 0.6052 0.0000
Ge 0.5280 0.3948 0.0000
Ge 0.6115 0.0456 0.5000
Ge 0.7431 0.8577 0.5000
Ge 0.7569 0.3577 0.0000
Ge 0.8885 0.5456 0.0000
Ge 0.9720 0.8948 0.5000

Principal peaks in the range 2θ from 5° to 70°, in order of falling intensity:
two_theta  I (rel.)
32.14  100
21.57  93
30.53  73
40.83  68
38.56  44
15.58  44
45.04  42
33.11  38
23.12  38
32.56  35

***

[5]
Structure and calculated X-ray powder pattern of LiCaGe2 (a structure optimized by DFT (PBE); Cu Kα, 1.54184 Å).

Structural model:
Unit cell a=8.0786 b=3.9411 c=10.7558 alpha=90.00 beta=90.00 gamma=90.00
Element x y z (fractional)
Li 0.0078 0.2500 0.1109
Li 0.4922 0.7500 0.6109
Li 0.5078 0.2500 0.3891
Li 0.9922 0.7500 0.8891
Ca 0.1324 0.7500 0.3639
Ca 0.3676 0.2500 0.8639
Ca 0.6324 0.7500 0.1361
Ca 0.8676 0.2500 0.6361
Ge 0.1597 0.7500 0.6793
Ge 0.2275 0.7500 0.0623
Ge 0.2725 0.2500 0.5623
Ge 0.3403 0.2500 0.1793
Ge 0.6597 0.7500 0.8207
Ge 0.7275 0.7500 0.4377
Ge 0.7725 0.2500 0.9377
Ge 0.8403 0.2500 0.3207

Principal peaks in the range 2θ from 5° to 70°, in order of falling intensity:
two_theta  I (rel.)
35.63  100
31.72  86
19.83  80
22.01  67
33.80  47
41.47  34
46.06  34
40.70  33
27.21  32
41.96  30

***

Copy entry 4 word for word.
Structure and calculated X-ray powder pattern of LiCa2Ge3 (a structure optimized by DFT (PBE); Cu Kα, 1.54184 Å).

Structural model:
Unit cell a=10.7612 b=11.3789 c=4.4198 alpha=90.00 beta=90.00 gamma=90.00
Element x y z (fractional)
Li 0.1421 0.2190 0.0000
Li 0.3579 0.7190 0.5000
Li 0.6421 0.2810 0.5000
Li 0.8579 0.7810 0.0000
Ca 0.0525 0.6472 0.5000
Ca 0.1787 0.9264 0.0000
Ca 0.3213 0.4264 0.5000
Ca 0.4475 0.1472 0.0000
Ca 0.5525 0.8528 0.0000
Ca 0.6787 0.5736 0.5000
Ca 0.8213 0.0736 0.0000
Ca 0.9475 0.3528 0.5000
Ge 0.0280 0.1052 0.5000
Ge 0.1115 0.4544 0.0000
Ge 0.2431 0.6423 0.0000
Ge 0.2569 0.1423 0.5000
Ge 0.3885 0.9544 0.5000
Ge 0.4720 0.6052 0.0000
Ge 0.5280 0.3948 0.0000
Ge 0.6115 0.0456 0.5000
Ge 0.7431 0.8577 0.5000
Ge 0.7569 0.3577 0.0000
Ge 0.8885 0.5456 0.0000
Ge 0.9720 0.8948 0.5000

Principal peaks in the range 2θ from 5° to 70°, in order of falling intensity:
two_theta  I (rel.)
32.14  100
21.57  93
30.53  73
40.83  68
38.56  44
15.58  44
45.04  42
33.11  38
23.12  38
32.56  35